Record 1
# K6Hg2PdO
Simulated powder diffractogram, CuKα. Input: a GGA-PBE-relaxed structure.
Neutral-atom scattering factors, no anomalous dispersion.

Structural model:
Cell lengths 8.226, 8.226, 8.226 Å; angles 120.18, 90.01, 119.81 degrees
Sites, in units of the cell vectors:
K1 0.228 0.000 0.228
K2 0.228 0.456 0.228
K3 0.228 0.999 0.772
K4 0.772 0.000 0.772
K5 0.773 0.001 0.228
K6 0.773 0.545 0.772
Hg1 0.252 0.501 0.751
Hg2 0.750 0.501 0.249
Pd1 0.500 0.000 0.500
O1 0.000 0.000 0.000

Top 8 peaks for 15 to 90 degrees two-theta, in order of rising 2θ:
d (Å)  I/Imax
4.115  100
3.365  32
3.352  32
2.908  73
2.378  28
2.371  28
2.056  34
1.840  26

Record 2
# K2PmHg2O4
Simulated powder diffractogram, CuKα. Input: a GGA-PBE-relaxed structure.
Neutral-atom scattering factors, no anomalous dispersion.

Structural model:
Cell lengths 6.699, 6.699, 9.178 Å; angles 121.45, 121.45, 30.92 degrees
Sites, in units of the cell vectors:
K1 0.156 0.156 0.282
K2 0.844 0.844 0.718
Pm1 0.500 0.500 0.500
Hg1 0.159 0.159 0.875
Hg2 0.841 0.841 0.125
O1 0.145 0.145 0.599
O2 0.476 0.476 0.220
O3 0.524 0.524 0.780
O4 0.855 0.855 0.401

Top 8 peaks for 15 to 90 degrees two-theta, in order of rising 2θ:
d (Å)  I/Imax
3.170  42
3.049  30
2.929  63
2.793  65
2.558  28
2.542  100
1.720  25
1.621  25

Record 3
# KPm2HgO5
Simulated powder diffractogram, CuKα. Input: a GGA-PBE-relaxed structure.
Neutral-atom scattering factors, no anomalous dispersion.

Structural model:
Cell lengths 7.962, 7.962, 7.962 Å; angles 129.32, 129.32, 74.49 degrees
Sites, in units of the cell vectors:
K1 0.250 0.250 0.000
K2 0.750 0.750 0.000
Pm1 0.171 0.671 0.842
Pm2 0.329 0.171 0.500
Pm3 0.671 0.829 0.500
Pm4 0.829 0.329 0.158
Hg1 0.250 0.750 0.500
Hg2 0.750 0.250 0.500
O1 0.000 0.000 0.000
O2 0.030 0.246 0.500
O3 0.246 0.746 0.216
O4 0.254 0.470 0.500
O5 0.470 0.970 0.216
O6 0.500 0.500 0.000
O7 0.530 0.030 0.784
O8 0.746 0.530 0.500
O9 0.754 0.254 0.784
O10 0.970 0.754 0.500

Top 8 peaks for 15 to 90 degrees two-theta, in order of rising 2θ:
d (Å)  I/Imax
4.819  58
3.169  46
3.001  100
2.963  40
2.472  46
2.409  22
2.040  47
1.949  26

Record 4
# K3PuHg2O6
Simulated powder diffractogram, CuKα. Input: a GGA-PBE-relaxed structure.
Neutral-atom scattering factors, no anomalous dispersion.

Structural model:
Cell lengths 6.665, 6.665, 6.159 Å; angles 94.58, 94.58, 126.27 degrees
Sites, in units of the cell vectors:
K1 0.000 0.000 0.000
K2 0.319 0.681 0.000
K3 0.681 0.319 0.000
Pu1 0.500 0.500 0.500
Hg1 0.155 0.845 0.500
Hg2 0.845 0.155 0.500
O1 0.111 0.390 0.314
O2 0.352 0.352 0.752
O3 0.390 0.111 0.314
O4 0.610 0.889 0.686
O5 0.648 0.648 0.248
O6 0.889 0.610 0.686

Top 8 peaks for 15 to 90 degrees two-theta, in order of rising 2θ:
d (Å)  I/Imax
3.295  51
3.025  100
2.965  33
2.783  82
2.336  24
1.803  21
1.775  20
1.647  20

Record 5
# KRb2HgO2
Simulated powder diffractogram, CuKα. Input: a GGA-PBE-relaxed structure.
Neutral-atom scattering factors, no anomalous dispersion.

Structural model:
Cell lengths 6.376, 12.583, 4.277 Å; angles 90.00, 90.00, 90.00 degrees
Sites, in units of the cell vectors:
K1 0.000 0.000 0.000
K2 0.500 0.500 0.500
Rb1 0.094 0.268 0.500
Rb2 0.406 0.768 0.000
Rb3 0.594 0.232 0.000
Rb4 0.906 0.732 0.500
Hg1 0.000 0.500 0.000
Hg2 0.500 0.000 0.500
O1 0.246 0.891 0.500
O2 0.254 0.391 0.000
O3 0.746 0.609 0.000
O4 0.754 0.109 0.500

Top 8 peaks for 15 to 90 degrees two-theta, in order of rising 2θ:
d (Å)  I/Imax
5.688  39
4.050  17
3.188  13
3.146  22
3.093  100
2.239  14
1.806  16
1.546  14

Record 6
# KRe2HgO8
Simulated powder diffractogram, CuKα. Input: a GGA-PBE-relaxed structure.
Neutral-atom scattering factors, no anomalous dispersion.

Structural model:
Cell lengths 6.575, 6.575, 6.840 Å; angles 108.08, 108.08, 57.89 degrees
Sites, in units of the cell vectors:
K1 0.000 0.000 0.000
Re1 0.207 0.207 0.683
Re2 0.793 0.793 0.317
Hg1 0.500 0.500 0.500
O1 0.077 0.628 0.233
O2 0.152 0.152 0.409
O3 0.370 0.370 0.776
O4 0.372 0.923 0.767
O5 0.628 0.077 0.233
O6 0.630 0.630 0.224
O7 0.848 0.848 0.591
O8 0.923 0.372 0.767

Top 8 peaks for 15 to 90 degrees two-theta, in order of rising 2θ:
d (Å)  I/Imax
3.832  100
3.313  42
3.228  84
3.182  43
3.124  43
2.849  20
2.567  24
2.295  31